Computed X-ray powder pattern of K2W2O5 for Cu Kα, from DFT lattice parameters and positions (PBE+U).
Neutral-atom scattering factors, no anomalous dispersion.

Principal peaks in the range 15° ≤ 2θ ≤ 90°, in order of rising 2θ:
15.2 deg, d 5.811, I 46; 17.0 deg, d 5.230, I 21; 19.0 deg, d 4.664, I 23; 19.2 deg, d 4.631, I 50; 21.8 deg, d 4.068, I 33; 30.8 deg, d 2.906, I 29; 31.1 deg, d 2.876, I 100; 34.0 deg, d 2.636, I 20; 34.1 deg, d 2.626, I 24; 55.3 deg, d 1.660, I 19

Crystal structure
abc: 5.751 5.858 9.766
angles: 82.96 72.98 89.72
Space group P1 (No. 1)
Inequivalent atoms, fractional coordinates:
K: 0.000 0.000 0.000 (multiplicity 1)
K: 0.200 0.101 0.598 (multiplicity 1)
K: 0.495 0.521 0.018 (multiplicity 1)
K: 0.710 0.584 0.577 (multiplicity 1)
W: 0.103 0.552 0.796 (multiplicity 1)
W: 0.377 0.027 0.235 (multiplicity 1)
W: 0.599 0.051 0.802 (multiplicity 1)
W: 0.815 0.085 0.363 (multiplicity 1)
O: 0.034 0.849 0.289 (multiplicity 1)
O: 0.141 0.264 0.308 (multiplicity 1)
O: 0.338 0.316 0.800 (multiplicity 1)
O: 0.358 0.803 0.791 (multiplicity 1)
O: 0.482 0.999 0.025 (multiplicity 1)
O: 0.512 0.876 0.385 (multiplicity 1)
O: 0.700 0.238 0.213 (multiplicity 1)
O: 0.724 0.104 0.564 (multiplicity 1)
O: 0.849 0.302 0.797 (multiplicity 1)
O: 0.865 0.787 0.795 (multiplicity 1)